Record 1
Calculated powder X-ray diffraction pattern of InGaTc3 for copper Kα, from a structure optimized by DFT (PBE).

Principal peaks in the range 2θ from 15° to 90°, in order of rising 2θ:
- hkl 1 0 0, 19.4 deg, I = 9
- hkl 1 1 0, 27.5 deg, I = 17
- hkl 1 1 1, 33.9 deg, I = 99
- hkl 2 0 0, 39.3 deg, I = 100
- hkl 2 2 0, 56.8 deg, I = 66
- hkl 3 1 1, 67.8 deg, I = 38
- hkl 2 2 2, 71.2 deg, I = 22
- hkl 4 0 0, 84.5 deg, I = 10

```
data_InGaTc3
_cell_length_a 4.5856
_cell_length_b 4.5856
_cell_length_c 4.5856
_cell_angle_alpha 90.00
_cell_angle_beta 90.00
_cell_angle_gamma 90.00
_space_group_name_H-M_alt 'P m -3 m'
_space_group_IT_number 221
_space_group_name_Hall '-P 4 2 3'
loop_
_atom_site_label
_atom_site_type_symbol
_atom_site_fract_x
_atom_site_fract_y
_atom_site_fract_z
In1 In 0.0000 0.0000 0.0000
Ga1 Ga 0.5000 0.5000 0.5000
Tc1 Tc 0.0000 0.5000 0.5000
```



Record 2
Calculated powder X-ray diffraction pattern of GdCu2 for copper Kα, from a structure optimized by DFT (PBE).

Principal peaks in the range 2θ from 15° to 90°, in order of rising 2θ:
- hkl 0 0 1, 23.8 deg, I = 20
- hkl 1 1 1, 34.4 deg, I = 18
- hkl 3 1 -1, 34.5 deg, I = 18
- hkl 0 2 1, 35.4 deg, I = 100
- hkl 2 2 0, 35.6 deg, I = 40
- hkl 2 0 -2, 41.7 deg, I = 32
- hkl 2 0 1, 42.2 deg, I = 22
- hkl 4 0 -1, 42.3 deg, I = 22

```
data_GdCu2
_cell_length_a 8.5399
_cell_length_b 6.9235
_cell_length_c 4.3277
_cell_angle_alpha 90.00
_cell_angle_beta 120.24
_cell_angle_gamma 90.00
_space_group_name_H-M_alt 'C 1 2/m 1'
_space_group_IT_number 12
loop_
_space_group_symop_operation_xyz
'x,y,z'
'-x,-y,-z'
'-x,y,-z'
'x,-y,z'
'x+1/2,y+1/2,z'
'-x+1/2,-y+1/2,-z'
'-x+1/2,y+1/2,-z'
'x+1/2,-y+1/2,z'
loop_
_atom_site_label
_atom_site_type_symbol
_atom_site_fract_x
_atom_site_fract_y
_atom_site_fract_z
Gd1 Gd 0.2073 0.0000 0.4579
Cu1 Cu 0.0851 0.3026 0.8348
```



Record 3
Calculated powder X-ray diffraction pattern of Cs3MgCd4 for copper Kα, from a structure optimized by DFT (PBE).

Principal peaks in the range 2θ from 15° to 90°, in order of rising 2θ:
- hkl 3 1 -1, 23.2 deg, I = 43
- hkl 2 0 1, 24.3 deg, I = 46
- hkl 1 1 -2, 26.4 deg, I = 65
- hkl 0 2 1, 27.0 deg, I = 48
- hkl 3 1 -2, 27.8 deg, I = 93
- hkl 2 2 0, 28.1 deg, I = 100
- hkl 1 1 2, 32.9 deg, I = 26
- hkl 5 1 -1, 35.9 deg, I = 29

```
data_Cs3MgCd4
_cell_length_a 13.4126
_cell_length_b 7.5409
_cell_length_c 7.7336
_cell_angle_alpha 90.00
_cell_angle_beta 118.51
_cell_angle_gamma 90.00
_space_group_name_H-M_alt 'C 1 2 1'
_space_group_IT_number 5
loop_
_space_group_symop_operation_xyz
'x,y,z'
'-x,y,-z'
'x+1/2,y+1/2,z'
'-x+1/2,y+1/2,-z'
loop_
_atom_site_label
_atom_site_type_symbol
_atom_site_fract_x
_atom_site_fract_y
_atom_site_fract_z
Cs1 Cs 0.0000 0.0000 0.0000
Cs2 Cs 0.1917 0.7700 0.5910
Mg1 Mg 0.0000 0.3003 0.5000
Cd1 Cd 0.0685 0.4967 0.8932
Cd2 Cd 0.2241 0.2234 0.8490
```



Record 4
Calculated powder X-ray diffraction pattern of HgPdBr for copper Kα, from a structure optimized by DFT (PBE).

Principal peaks in the range 2θ from 15° to 90°, in order of rising 2θ:
- hkl 0 2 0, 17.9 deg, I = 79
- hkl 0 2 1, 28.7 deg, I = 21
- hkl 2 2 0, 29.2 deg, I = 29
- hkl 2 0 1, 32.2 deg, I = 100
- hkl 0 4 0, 36.2 deg, I = 42
- hkl 2 2 1, 37.1 deg, I = 68
- hkl 4 0 0, 46.7 deg, I = 21
- hkl 2 4 1, 49.2 deg, I = 84

```
data_HgPdBr
_cell_length_a 7.7737
_cell_length_b 9.9145
_cell_length_c 3.9848
_cell_angle_alpha 90.00
_cell_angle_beta 90.00
_cell_angle_gamma 90.00
_space_group_name_H-M_alt 'C m m e'
_space_group_IT_number 67
_space_group_name_Hall '-C 2a 2'
loop_
_atom_site_label
_atom_site_type_symbol
_atom_site_fract_x
_atom_site_fract_y
_atom_site_fract_z
Hg1 Hg 0.2500 0.0000 0.0000
Pd1 Pd 0.0000 0.0000 0.5000
Br1 Br 0.0000 0.2500 0.3648
```